Structure and theoretical PXRD pattern of PrWBrO4 (DFT lattice parameters and positions (PBE+U); Cu Ka).
Intensities are scaled so that the largest is 100.

Atomic structure:
Lattice parameters (Å, degrees): 6.6414 6.6414 7.1863 103.64 103.64 69.76
Fractional positions:
Pr 0.2304 0.2304 0.1232
Pr 0.7696 0.7696 0.8768
W 0.3647 0.3647 0.7362
W 0.6353 0.6353 0.2638
Br 0.0129 0.0129 0.7545
Br 0.9871 0.9871 0.2455
O 0.1197 0.4908 0.8491
O 0.2993 0.2993 0.4761
O 0.4627 0.4627 0.2001
O 0.4908 0.1197 0.8491
O 0.5092 0.8803 0.1509
O 0.5373 0.5373 0.7999
O 0.7007 0.7007 0.5239
O 0.8803 0.5092 0.1509

Principal peaks in the range 2θ from 10° to 80°, by angle:
2θ/deg  I_rel
23.4  100.0
24.2  44.5
25.9  31.8
27.5  29.2
27.8  49.3
28.2  26.6
33.1  46.2
35.2  26.7